(1)
For Li14MgCo13O28, the PBE+U geometry in the Materials Project gives the computed powder diffraction line list in this record (Cu Kα, 1.54184 Å).
No peak broadening, texture or thermal motion is included.

```
data_Li14MgCo13O28
_chemical_formula_sum 'Li14 Mg1 Co13 O28'
_symmetry_space_group_name_H-M 'P 1'
_symmetry_Int_Tables_number 1
_symmetry_space_group_name_Hall 'P 1'
_cell_length_a 7.533
_cell_length_b 8.079
_cell_length_c 8.567
_cell_angle_alpha 103.16
_cell_angle_beta 104.55
_cell_angle_gamma 105.45
loop_
_atom_site_label
_atom_site_type_symbol
_atom_site_fract_x
_atom_site_fract_y
_atom_site_fract_z
_atom_site_occupancy
Li1 Li 0.000 0.000 0.000 1
Li2 Li 0.070 0.214 0.785 1
Li3 Li 0.143 0.429 0.572 1
Li4 Li 0.215 0.643 0.357 1
Li5 Li 0.286 0.857 0.143 1
Li6 Li 0.358 0.071 0.927 1
Li7 Li 0.429 0.285 0.714 1
Li8 Li 0.500 0.500 0.500 1
Li9 Li 0.571 0.715 0.286 1
Li10 Li 0.642 0.929 0.073 1
Li11 Li 0.714 0.143 0.857 1
Li12 Li 0.785 0.357 0.643 1
Li13 Li 0.857 0.571 0.428 1
Li14 Li 0.930 0.786 0.215 1
Mg1 Mg 0.500 0.000 0.500 1
Co1 Co 0.000 0.500 0.000 1
Co2 Co 0.072 0.714 0.786 1
Co3 Co 0.143 0.929 0.571 1
Co4 Co 0.215 0.143 0.357 1
Co5 Co 0.286 0.357 0.143 1
Co6 Co 0.357 0.572 0.929 1
Co7 Co 0.428 0.786 0.714 1
Co8 Co 0.572 0.214 0.286 1
Co9 Co 0.643 0.428 0.071 1
Co10 Co 0.714 0.643 0.857 1
Co11 Co 0.785 0.857 0.643 1
Co12 Co 0.857 0.071 0.429 1
Co13 Co 0.928 0.286 0.214 1
O1 O 0.010 0.268 0.017 1
O2 O 0.061 0.945 0.769 1
O3 O 0.082 0.482 0.802 1
O4 O 0.134 0.161 0.555 1
O5 O 0.152 0.696 0.587 1
O6 O 0.203 0.374 0.340 1
O7 O 0.209 0.905 0.366 1
O8 O 0.276 0.590 0.127 1
O9 O 0.295 0.125 0.159 1
O10 O 0.347 0.803 0.912 1
O11 O 0.366 0.340 0.945 1
O12 O 0.415 0.019 0.709 1
O13 O 0.438 0.554 0.732 1
O14 O 0.490 0.245 0.483 1
O15 O 0.510 0.755 0.517 1
O16 O 0.562 0.446 0.268 1
O17 O 0.585 0.981 0.291 1
O18 O 0.634 0.660 0.055 1
O19 O 0.653 0.197 0.088 1
O20 O 0.705 0.875 0.841 1
O21 O 0.724 0.410 0.873 1
O22 O 0.791 0.095 0.634 1
O23 O 0.797 0.626 0.660 1
O24 O 0.848 0.304 0.413 1
O25 O 0.866 0.839 0.445 1
O26 O 0.918 0.518 0.198 1
O27 O 0.939 0.055 0.231 1
O28 O 0.990 0.732 0.983 1
```

Principal peaks in the range 2θ = 10–90°, low angle first:
Position (°2θ), Rel. int.
18.9, 100.0
37.0, 38.2
38.7, 13.0
44.9, 70.3
49.1, 11.7
59.3, 14.2
65.1, 18.2
65.6, 19.3
68.9, 13.8
83.0, 8.8


(2)
For Li2MgCo13O28, the PBE+U geometry in the Materials Project gives the computed powder diffraction line list in this record (Cu Kα, 1.54184 Å).
No peak broadening, texture or thermal motion is included.

```
data_Li2MgCo13O28
_chemical_formula_sum 'Li2 Mg1 Co13 O28'
_symmetry_space_group_name_H-M 'P 1'
_symmetry_Int_Tables_number 1
_symmetry_space_group_name_Hall 'P 1'
_cell_length_a 7.552
_cell_length_b 8.233
_cell_length_c 8.705
_cell_angle_alpha 100.21
_cell_angle_beta 104.41
_cell_angle_gamma 105.29
loop_
_atom_site_label
_atom_site_type_symbol
_atom_site_fract_x
_atom_site_fract_y
_atom_site_fract_z
_atom_site_occupancy
Li1 Li 0.000 0.000 0.000 1
Li2 Li 0.152 0.433 0.575 1
Mg1 Mg 0.150 0.937 0.580 1
Co1 Co 0.004 0.501 0.003 1
Co2 Co 0.076 0.716 0.790 1
Co3 Co 0.222 0.147 0.360 1
Co4 Co 0.295 0.370 0.153 1
Co5 Co 0.365 0.582 0.939 1
Co6 Co 0.438 0.794 0.723 1
Co7 Co 0.508 0.006 0.504 1
Co8 Co 0.578 0.222 0.291 1
Co9 Co 0.649 0.433 0.077 1
Co10 Co 0.715 0.637 0.855 1
Co11 Co 0.785 0.853 0.640 1
Co12 Co 0.858 0.068 0.426 1
Co13 Co 0.933 0.288 0.217 1
O1 O 0.025 0.282 0.033 1
O2 O 0.046 0.929 0.775 1
O3 O 0.098 0.498 0.819 1
O4 O 0.124 0.169 0.536 1
O5 O 0.172 0.699 0.614 1
O6 O 0.200 0.370 0.336 1
O7 O 0.248 0.939 0.382 1
O8 O 0.271 0.584 0.122 1
O9 O 0.307 0.148 0.173 1
O10 O 0.347 0.796 0.910 1
O11 O 0.380 0.361 0.967 1
O12 O 0.438 0.008 0.696 1
O13 O 0.443 0.568 0.748 1
O14 O 0.492 0.228 0.475 1
O15 O 0.521 0.785 0.532 1
O16 O 0.562 0.442 0.263 1
O17 O 0.592 0.004 0.315 1
O18 O 0.634 0.651 0.046 1
O19 O 0.664 0.215 0.104 1
O20 O 0.708 0.860 0.835 1
O21 O 0.737 0.422 0.890 1
O22 O 0.775 0.076 0.615 1
O23 O 0.803 0.633 0.673 1
O24 O 0.850 0.295 0.402 1
O25 O 0.861 0.855 0.454 1
O26 O 0.918 0.507 0.189 1
O27 O 0.951 0.069 0.235 1
O28 O 0.982 0.719 0.974 1
```

Principal peaks in the range 2θ = 10–90°, low angle first:
Position (°2θ), Rel. int.
17.8, 100.0
36.1, 3.9
36.9, 9.1
37.0, 17.9
38.5, 4.5
44.0, 27.3
44.1, 13.5
47.9, 4.8
57.1, 14.5
62.5, 6.5


(3)
For Li4Mn2Nb3Co3O16, the PBE+U geometry in the Materials Project gives the computed powder diffraction line list in this record (Cu Kα, 1.54184 Å).
No peak broadening, texture or thermal motion is included.

```
data_Li4Mn2Nb3Co3O16
_chemical_formula_sum 'Li4 Mn2 Nb3 Co3 O16'
_symmetry_space_group_name_H-M 'P 1'
_symmetry_Int_Tables_number 1
_symmetry_space_group_name_Hall 'P 1'
_cell_length_a 5.976
_cell_length_b 5.976
_cell_length_c 9.850
_cell_angle_alpha 91.68
_cell_angle_beta 91.68
_cell_angle_gamma 60.47
loop_
_atom_site_label
_atom_site_type_symbol
_atom_site_fract_x
_atom_site_fract_y
_atom_site_fract_z
_atom_site_occupancy
Li1 Li 0.000 0.000 0.000 1
Li2 Li 0.014 0.014 0.513 1
Li3 Li 0.372 0.372 0.413 1
Li4 Li 0.704 0.704 0.891 1
Mn1 Mn 0.381 0.381 0.989 1
Mn2 Mn 0.702 0.702 0.521 1
Nb1 Nb 0.207 0.207 0.720 1
Nb2 Nb 0.373 0.870 0.224 1
Nb3 Nb 0.870 0.373 0.224 1
Co1 Co 0.203 0.700 0.731 1
Co2 Co 0.700 0.203 0.731 1
Co3 Co 0.860 0.860 0.224 1
O1 O 0.006 0.536 0.347 1
O2 O 0.035 0.035 0.824 1
O3 O 0.039 0.039 0.327 1
O4 O 0.084 0.522 0.854 1
O5 O 0.187 0.187 0.110 1
O6 O 0.202 0.699 0.110 1
O7 O 0.342 0.876 0.620 1
O8 O 0.371 0.371 0.619 1
O9 O 0.522 0.084 0.854 1
O10 O 0.523 0.523 0.834 1
O11 O 0.536 0.006 0.347 1
O12 O 0.548 0.548 0.337 1
O13 O 0.685 0.685 0.104 1
O14 O 0.699 0.202 0.110 1
O15 O 0.875 0.875 0.631 1
O16 O 0.876 0.342 0.620 1
```

Principal peaks in the range 2θ = 10–90°, low angle first:
Position (°2θ), Rel. int.
18.0, 100.0
19.2, 58.7
19.4, 20.8
34.7, 17.8
35.6, 41.0
35.9, 26.5
38.9, 20.4
44.1, 22.9
44.9, 20.1
62.2, 24.5


(4)
For Li4Mn3Co3Ni2O16, the PBE+U geometry in the Materials Project gives the computed powder diffraction line list in this record (Cu Kα, 1.54184 Å).
No peak broadening, texture or thermal motion is included.

```
data_Li4Mn3Co3Ni2O16
_chemical_formula_sum 'Li4 Mn3 Co3 Ni2 O16'
_symmetry_space_group_name_H-M 'P 1'
_symmetry_Int_Tables_number 1
_symmetry_space_group_name_Hall 'P 1'
_cell_length_a 5.736
_cell_length_b 5.736
_cell_length_c 9.556
_cell_angle_alpha 90.06
_cell_angle_beta 90.06
_cell_angle_gamma 60.17
loop_
_atom_site_label
_atom_site_type_symbol
_atom_site_fract_x
_atom_site_fract_y
_atom_site_fract_z
_atom_site_occupancy
Li1 Li 0.000 0.000 0.000 1
Li2 Li 0.001 0.001 0.497 1
Li3 Li 0.326 0.326 0.392 1
Li4 Li 0.660 0.660 0.896 1
Mn1 Mn 0.163 0.657 0.716 1
Mn2 Mn 0.657 0.163 0.716 1
Mn3 Mn 0.825 0.825 0.217 1
Co1 Co 0.163 0.163 0.715 1
Co2 Co 0.331 0.826 0.214 1
Co3 Co 0.826 0.331 0.214 1
Ni1 Ni 0.329 0.329 0.992 1
Ni2 Ni 0.662 0.662 0.490 1
O1 O 0.028 0.473 0.831 1
O2 O 0.155 0.155 0.114 1
O3 O 0.157 0.679 0.108 1
O4 O 0.314 0.841 0.610 1
O5 O 0.329 0.329 0.609 1
O6 O 0.473 0.028 0.831 1
O7 O 0.478 0.478 0.833 1
O8 O 0.507 0.959 0.331 1
O9 O 0.512 0.512 0.325 1
O10 O 0.661 0.661 0.110 1
O11 O 0.679 0.157 0.108 1
O12 O 0.838 0.838 0.605 1
O13 O 0.841 0.314 0.610 1
O14 O 0.959 0.507 0.331 1
O15 O 0.996 0.996 0.312 1
O16 O 0.996 0.996 0.814 1
```

Principal peaks in the range 2θ = 10–90°, low angle first:
Position (°2θ), Rel. int.
18.6, 71.3
20.1, 100.0
25.9, 34.6
33.4, 40.1
36.5, 61.2
37.4, 44.0
40.9, 28.8
46.3, 48.0
61.1, 40.7
65.0, 25.9


(5)
For Li5Mn2CoNi2O10, the PBE+U geometry in the Materials Project gives the computed powder diffraction line list in this record (Cu Kα, 1.54184 Å).
No peak broadening, texture or thermal motion is included.

```
data_Li5Mn2CoNi2O10
_chemical_formula_sum 'Li5 Mn2 Co1 Ni2 O10'
_symmetry_space_group_name_H-M 'P 1'
_symmetry_Int_Tables_number 1
_symmetry_space_group_name_Hall 'P 1'
_cell_length_a 5.066
_cell_length_b 5.889
_cell_length_c 6.608
_cell_angle_alpha 103.24
_cell_angle_beta 97.78
_cell_angle_gamma 106.26
loop_
_atom_site_label
_atom_site_type_symbol
_atom_site_fract_x
_atom_site_fract_y
_atom_site_fract_z
_atom_site_occupancy
Li1 Li 0.000 0.000 0.000 1
Li2 Li 0.192 0.403 0.396 1
Li3 Li 0.392 0.803 0.804 1
Li4 Li 0.593 0.203 0.201 1
Li5 Li 0.797 0.601 0.597 1
Mn1 Mn 0.594 0.701 0.199 1
Mn2 Mn 0.794 0.100 0.598 1
Co1 Co 0.396 0.304 0.803 1
Ni1 Ni 0.195 0.901 0.399 1
Ni2 Ni 0.995 0.503 0.000 1
O1 O 0.080 0.969 0.697 1
O2 O 0.089 0.421 0.693 1
O3 O 0.310 0.840 0.107 1
O4 O 0.317 0.375 0.105 1
O5 O 0.513 0.243 0.515 1
O6 O 0.518 0.770 0.489 1
O7 O 0.682 0.651 0.920 1
O8 O 0.687 0.153 0.872 1
O9 O 0.873 0.036 0.310 1
O10 O 0.879 0.564 0.290 1
```

Principal peaks in the range 2θ = 10–90°, low angle first:
Position (°2θ), Rel. int.
18.4, 100.0
35.8, 29.0
36.1, 13.7
37.5, 14.8
43.4, 51.3
43.8, 24.7
47.7, 9.5
63.1, 13.7
63.5, 13.6
80.1, 9.3


(6)
For Li10Mn3Co2Ni3O16, the PBE+U geometry in the Materials Project gives the computed powder diffraction line list in this record (Cu Kα, 1.54184 Å).
No peak broadening, texture or thermal motion is included.

```
data_Li10Mn3Co2Ni3O16
_chemical_formula_sum 'Li10 Mn3 Co2 Ni3 O16'
_symmetry_space_group_name_H-M 'P 1'
_symmetry_Int_Tables_number 1
_symmetry_space_group_name_Hall 'P 1'
_cell_length_a 5.943
_cell_length_b 5.952
_cell_length_c 9.776
_cell_angle_alpha 90.81
_cell_angle_beta 91.04
_cell_angle_gamma 119.65
loop_
_atom_site_label
_atom_site_type_symbol
_atom_site_fract_x
_atom_site_fract_y
_atom_site_fract_z
_atom_site_occupancy
Li1 Li 0.000 0.000 0.000 1
Li2 Li 0.004 0.562 0.999 1
Li3 Li 0.241 0.396 0.932 1
Li4 Li 0.254 0.413 0.438 1
Li5 Li 0.389 0.178 0.524 1
Li6 Li 0.414 0.797 0.511 1
Li7 Li 0.578 0.061 0.735 1
Li8 Li 0.618 0.584 0.007 1
Li9 Li 0.855 0.192 0.521 1
Li10 Li 0.914 0.744 0.233 1
Mn1 Mn 0.411 0.232 0.238 1
Mn2 Mn 0.411 0.740 0.236 1
Mn3 Mn 0.571 0.557 0.737 1
Co1 Co 0.571 0.062 0.979 1
Co2 Co 0.904 0.721 0.487 1
Ni1 Ni 0.063 0.051 0.742 1
Ni2 Ni 0.064 0.557 0.740 1
Ni3 Ni 0.908 0.235 0.240 1
O1 O 0.105 0.588 0.354 1
O2 O 0.108 0.088 0.354 1
O3 O 0.202 0.870 0.617 1
O4 O 0.246 0.389 0.627 1
O5 O 0.252 0.907 0.121 1
O6 O 0.259 0.407 0.130 1
O7 O 0.418 0.718 0.854 1
O8 O 0.422 0.251 0.855 1
O9 O 0.562 0.061 0.350 1
O10 O 0.572 0.567 0.348 1
O11 O 0.713 0.376 0.125 1
O12 O 0.713 0.892 0.124 1
O13 O 0.720 0.860 0.616 1
O14 O 0.722 0.396 0.617 1
O15 O 0.882 0.716 0.857 1
O16 O 0.909 0.228 0.872 1
```

Principal peaks in the range 2θ = 10–90°, low angle first:
Position (°2θ), Rel. int.
18.2, 100.0
19.2, 57.1
19.5, 58.0
19.7, 59.4
34.7, 41.0
35.1, 35.7
35.7, 63.4
36.1, 56.4
44.1, 61.0
45.4, 56.6


(7)
For Li7Mn4CoO12, the PBE+U geometry in the Materials Project gives the computed powder diffraction line list in this record (Cu Kα, 1.54184 Å).
No peak broadening, texture or thermal motion is included.

```
data_Li7Mn4CoO12
_chemical_formula_sum 'Li14 Mn8 Co2 O24'
_symmetry_space_group_name_H-M 'P 1'
_symmetry_Int_Tables_number 1
_symmetry_space_group_name_Hall 'P 1'
_cell_length_a 2.969
_cell_length_b 10.163
_cell_length_c 15.151
_cell_angle_alpha 107.18
_cell_angle_beta 92.34
_cell_angle_gamma 91.38
loop_
_atom_site_label
_atom_site_type_symbol
_atom_site_fract_x
_atom_site_fract_y
_atom_site_fract_z
_atom_site_occupancy
Li1 Li 0.000 0.000 0.000 1
Li2 Li 0.000 0.254 0.835 1
Li3 Li 0.000 0.746 0.165 1
Li4 Li 0.008 0.242 0.161 1
Li5 Li 0.008 0.757 0.496 1
Li6 Li 0.492 0.757 0.339 1
Li7 Li 0.493 0.243 0.004 1
Li8 Li 0.497 0.254 0.335 1
Li9 Li 0.500 0.000 0.500 1
Li10 Li 0.503 0.746 0.665 1
Li11 Li 0.507 0.757 0.996 1
Li12 Li 0.508 0.243 0.661 1
Li13 Li 0.992 0.243 0.504 1
Li14 Li 0.992 0.758 0.839 1
Mn1 Mn 0.007 0.996 0.337 1
Mn2 Mn 0.009 0.499 0.667 1
Mn3 Mn 0.492 0.004 0.163 1
Mn4 Mn 0.499 0.498 0.164 1
Mn5 Mn 0.501 0.502 0.836 1
Mn6 Mn 0.508 0.996 0.837 1
Mn7 Mn 0.991 0.501 0.333 1
Mn8 Mn 0.993 0.004 0.663 1
Co1 Co 0.000 0.500 0.000 1
Co2 Co 0.500 0.500 0.500 1
O1 O 0.008 0.882 0.409 1
O2 O 0.009 0.615 0.584 1
O3 O 0.011 0.106 0.243 1
O4 O 0.030 0.108 0.902 1
O5 O 0.038 0.382 0.078 1
O6 O 0.042 0.383 0.750 1
O7 O 0.456 0.619 0.421 1
O8 O 0.462 0.615 0.083 1
O9 O 0.466 0.617 0.752 1
O10 O 0.473 0.892 0.598 1
O11 O 0.488 0.894 0.257 1
O12 O 0.492 0.118 0.091 1
O13 O 0.508 0.882 0.909 1
O14 O 0.512 0.106 0.743 1
O15 O 0.527 0.108 0.402 1
O16 O 0.534 0.383 0.248 1
O17 O 0.538 0.385 0.917 1
O18 O 0.544 0.381 0.579 1
O19 O 0.958 0.617 0.250 1
O20 O 0.962 0.618 0.922 1
O21 O 0.970 0.892 0.098 1
O22 O 0.989 0.894 0.757 1
O23 O 0.991 0.385 0.416 1
O24 O 0.992 0.118 0.591 1
```

Principal peaks in the range 2θ = 10–90°, low angle first:
Position (°2θ), Rel. int.
18.3, 100.0
34.7, 18.6
36.4, 23.3
41.6, 33.5
44.1, 28.7
44.4, 27.1
61.8, 8.2
62.6, 7.9
62.7, 8.2
63.9, 7.9


(8)
For Li4MnCo2O7, the PBE+U geometry in the Materials Project gives the computed powder diffraction line list in this record (Cu Kα, 1.54184 Å).
No peak broadening, texture or thermal motion is included.

```
data_Li4MnCo2O7
_chemical_formula_sum 'Li8 Mn2 Co4 O14'
_symmetry_space_group_name_H-M 'P 1'
_symmetry_Int_Tables_number 1
_symmetry_space_group_name_Hall 'P 1'
_cell_length_a 2.972
_cell_length_b 8.087
_cell_length_c 10.656
_cell_angle_alpha 78.33
_cell_angle_beta 85.82
_cell_angle_gamma 89.00
loop_
_atom_site_label
_atom_site_type_symbol
_atom_site_fract_x
_atom_site_fract_y
_atom_site_fract_z
_atom_site_occupancy
Li1 Li 0.000 0.000 0.000 1
Li2 Li 0.008 0.492 0.993 1
Li3 Li 0.122 0.560 0.723 1
Li4 Li 0.281 0.142 0.431 1
Li5 Li 0.413 0.698 0.144 1
Li6 Li 0.561 0.291 0.862 1
Li7 Li 0.713 0.852 0.569 1
Li8 Li 0.855 0.420 0.287 1
Mn1 Mn 0.557 0.774 0.861 1
Mn2 Mn 0.854 0.924 0.287 1
Co1 Co 0.122 0.069 0.717 1
Co2 Co 0.273 0.636 0.431 1
Co3 Co 0.436 0.222 0.138 1
Co4 Co 0.704 0.352 0.574 1
O1 O 0.018 0.242 0.013 1
O2 O 0.024 0.750 0.983 1
O3 O 0.098 0.823 0.732 1
O4 O 0.114 0.308 0.708 1
O5 O 0.252 0.875 0.430 1
O6 O 0.302 0.397 0.438 1
O7 O 0.415 0.434 0.148 1
O8 O 0.450 0.977 0.148 1
O9 O 0.535 0.024 0.849 1
O10 O 0.573 0.549 0.855 1
O11 O 0.682 0.592 0.564 1
O12 O 0.728 0.111 0.580 1
O13 O 0.830 0.166 0.282 1
O14 O 0.878 0.680 0.290 1
```

Principal peaks in the range 2θ = 10–90°, low angle first:
Position (°2θ), Rel. int.
18.4, 100.0
34.5, 19.6
36.8, 22.8
37.3, 7.9
41.4, 33.8
44.7, 26.3
44.8, 25.8
62.5, 15.6
62.7, 8.0
62.9, 7.8